1.
Starting from a crystal structure in Alexandria, relaxed with GGA-PBE, the powder XRD pattern of Cs3Pa2O4F3 was computed for a wavelength of 1.5418 Å.

Principal peaks in the range 2θ from 5° to 70°, in order of rising 2θ:
2theta	I/Imax
25.63	100
26.82	92
27.34	93
35.76	30
37.35	28
40.70	22
45.60	45
46.58	42
48.72	36
52.67	19
56.42	18
68.63	17

Structure:
Cell lengths 12.973, 12.973, 12.973 Å; angles 160.32, 158.61, 29.22 degrees
Fractional coordinates of all 12 atoms:
Cs (0.000, 0.000, 0.000)
Cs (0.197, 0.197, 0.000)
Cs (0.803, 0.803, 0.000)
Pa (0.399, 0.399, 0.000)
Pa (0.601, 0.601, 0.000)
O (0.318, 0.318, 0.000)
O (0.408, 0.908, 0.500)
O (0.592, 0.092, 0.500)
O (0.682, 0.682, 0.000)
F (0.092, 0.592, 0.500)
F (0.500, 0.500, 0.000)
F (0.908, 0.408, 0.500)

=====

2.
Starting from a crystal structure in Alexandria, relaxed with GGA-PBE, the powder XRD pattern of Cs3Pu2O4F3 was computed for a wavelength of 1.5418 Å.

Principal peaks in the range 2θ from 5° to 70°, in order of rising 2θ:
2theta	I/Imax
14.37	17
25.92	100
27.43	90
27.77	93
36.45	29
37.51	29
41.77	21
46.44	43
47.09	42
49.81	35
53.30	19
69.91	17

Structure:
Cell lengths 12.741, 12.741, 12.741 Å; angles 160.45, 158.30, 29.36 degrees
Fractional coordinates of all 12 atoms:
Cs (0.000, 0.000, 0.000)
Cs (0.195, 0.195, 0.000)
Cs (0.805, 0.805, 0.000)
Pu (0.400, 0.400, 0.000)
Pu (0.600, 0.600, 0.000)
O (0.320, 0.320, 0.000)
O (0.407, 0.907, 0.500)
O (0.593, 0.093, 0.500)
O (0.680, 0.680, 0.000)
F (0.094, 0.594, 0.500)
F (0.500, 0.500, 0.000)
F (0.906, 0.406, 0.500)

=====

3.
Starting from a crystal structure in Alexandria, relaxed with GGA-PBE, the powder XRD pattern of Cs8RbO2F was computed for a wavelength of 1.5418 Å.

Principal peaks in the range 2θ from 5° to 70°, in order of rising 2θ:
2theta	I/Imax
13.39	89
20.87	37
21.08	53
23.00	20
24.05	42
24.33	20
26.96	100
31.40	22
40.41	34
42.43	36
45.91	27
49.25	19

Structure:
Cell lengths 8.928, 8.928, 12.767 Å; angles 90.00, 90.00, 120.00 degrees
Fractional coordinates of all 12 atoms:
Cs (0.169, 0.338, 0.347)
Cs (0.169, 0.831, 0.347)
Cs (0.333, 0.667, 0.072)
Cs (0.338, 0.169, 0.653)
Cs (0.662, 0.831, 0.347)
Cs (0.667, 0.333, 0.928)
Cs (0.831, 0.169, 0.653)
Cs (0.831, 0.662, 0.653)
Rb (0.000, 0.000, 0.000)
O (0.333, 0.667, 0.279)
O (0.667, 0.333, 0.721)
F (0.000, 0.000, 0.500)

=====

> Number 2 is which compound?

Cs3Pu2O4F3

=====

Please write out number 2 again, unchanged.
Starting from a crystal structure in Alexandria, relaxed with GGA-PBE, the powder XRD pattern of Cs3Pu2O4F3 was computed for a wavelength of 1.5418 Å.

Principal peaks in the range 2θ from 5° to 70°, in order of rising 2θ:
2theta	I/Imax
14.37	17
25.92	100
27.43	90
27.77	93
36.45	29
37.51	29
41.77	21
46.44	43
47.09	42
49.81	35
53.30	19
69.91	17

Structure:
Cell lengths 12.741, 12.741, 12.741 Å; angles 160.45, 158.30, 29.36 degrees
Fractional coordinates of all 12 atoms:
Cs (0.000, 0.000, 0.000)
Cs (0.195, 0.195, 0.000)
Cs (0.805, 0.805, 0.000)
Pu (0.400, 0.400, 0.000)
Pu (0.600, 0.600, 0.000)
O (0.320, 0.320, 0.000)
O (0.407, 0.907, 0.500)
O (0.593, 0.093, 0.500)
O (0.680, 0.680, 0.000)
F (0.094, 0.594, 0.500)
F (0.500, 0.500, 0.000)
F (0.906, 0.406, 0.500)